For NdPIr, the GGA-PBE geometry in the Materials Project gives the computed powder diffractogram in this record (λ = 1.5418 Å (Cu Kα)).
Intensities are scaled so that the largest is 100.

a = 4.1138 Å, b = 4.1138 Å, c = 14.2743 Å
α = 90.00°, β = 90.00°, γ = 90.00°
Space group I4_1md (No. 109)
Unique sites:
Nd: 0.0000 0.0000 0.0000 [4 per cell]
P: 0.0000 0.0000 0.5781 [4 per cell]
Ir: 0.0000 0.0000 0.4111 [4 per cell]

Principal peaks in the range 2θ = 5–70°, in order of rising 2θ:
- 28.7°, I = 46
- 33.3°, I = 100
- 38.4°, I = 51
- 44.0°, I = 38
- 49.9°, I = 26
- 53.4°, I = 17
- 59.8°, I = 28
- 68.7°, I = 18

***

For PmNdIr2, the GGA-PBE geometry in the Materials Project gives the computed powder diffractogram in this record (λ = 1.5418 Å (Cu Kα)).
Intensities are scaled so that the largest is 100.

a = 7.0737 Å, b = 7.0737 Å, c = 7.0737 Å
α = 90.00°, β = 90.00°, γ = 90.00°
Space group Fm-3m (No. 225)
Unique sites:
Pm: 0.0000 0.0000 0.0000 [4 per cell]
Nd: 0.0000 0.0000 0.5000 [4 per cell]
Ir: 0.2500 0.2500 0.2500 [8 per cell]

Principal peaks in the range 2θ = 5–70°, in order of rising 2θ:
- 25.2°, I = 2
- 35.9°, I = 100
- 44.4°, I = 1
- 51.7°, I = 18
- 58.3°, I = 1
- 64.5°, I = 37

***

For PrNdIr2, the GGA-PBE geometry in the Materials Project gives the computed powder diffractogram in this record (λ = 1.5418 Å (Cu Kα)).
Intensities are scaled so that the largest is 100.

a = 7.1248 Å, b = 7.1248 Å, c = 7.1248 Å
α = 90.00°, β = 90.00°, γ = 90.00°
Space group Fm-3m (No. 225)
Unique sites:
Pr: 0.0000 0.0000 0.0000 [4 per cell]
Nd: 0.0000 0.0000 0.5000 [4 per cell]
Ir: 0.2500 0.2500 0.2500 [8 per cell]

Principal peaks in the range 2θ = 5–70°, in order of rising 2θ:
- 25.0°, I = 2
- 35.6°, I = 100
- 44.0°, I = 1
- 51.3°, I = 18
- 57.9°, I = 1
- 64.0°, I = 37

***

For Nd2IrRu, the GGA-PBE geometry in the Materials Project gives the computed powder diffractogram in this record (λ = 1.5418 Å (Cu Kα)).
Intensities are scaled so that the largest is 100.

a = 7.0715 Å, b = 7.0715 Å, c = 7.0715 Å
α = 90.00°, β = 90.00°, γ = 90.00°
Space group Fm-3m (No. 225)
Unique sites:
Nd: 0.2500 0.2500 0.2500 [8 per cell]
Ir: 0.0000 0.0000 0.0000 [4 per cell]
Ru: 0.0000 0.0000 0.5000 [4 per cell]

Principal peaks in the range 2θ = 5–70°, in order of rising 2θ:
- 21.8°, I = 5
- 35.9°, I = 100
- 42.4°, I = 3
- 51.7°, I = 18
- 56.7°, I = 1
- 64.6°, I = 36
- 69.0°, I = 1

***

For NdSbIr, the GGA-PBE geometry in the Materials Project gives the computed powder diffractogram in this record (λ = 1.5418 Å (Cu Kα)).
Intensities are scaled so that the largest is 100.

a = 7.4498 Å, b = 4.5880 Å, c = 8.0347 Å
α = 90.00°, β = 90.00°, γ = 90.00°
Space group Pnma (No. 62)
Unique sites:
Nd: 0.0171 0.2500 0.1899 [4 per cell]
Sb: 0.1732 0.2500 0.5866 [4 per cell]
Ir: 0.2024 0.7500 0.4071 [4 per cell]

Principal peaks in the range 2θ = 5–70°, in order of rising 2θ:
- 32.0°, I = 67
- 32.8°, I = 30
- 32.9°, I = 100
- 37.9°, I = 41
- 38.9°, I = 67
- 39.3°, I = 50
- 55.7°, I = 27
- 62.9°, I = 28

***

For Nd2Si3Ir3, the GGA-PBE geometry in the Materials Project gives the computed powder diffractogram in this record (λ = 1.5418 Å (Cu Kα)).
Intensities are scaled so that the largest is 100.

a = 2.8273 Å, b = 2.8273 Å, c = 20.6867 Å
α = 90.00°, β = 90.00°, γ = 90.00°
Space group P4/mmm (No. 123)
Unique sites:
Nd: 0.0000 0.0000 0.2399 [2 per cell]
Si: 0.0000 0.0000 0.0000 [1 per cell]
Si: 0.0000 0.0000 0.3886 [2 per cell]
Ir: 0.0000 0.0000 0.1085 [2 per cell]
Ir: 0.0000 0.0000 0.5000 [1 per cell]

Principal peaks in the range 2θ = 5–70°, in order of rising 2θ:
- 12.8°, I = 57
- 21.5°, I = 20
- 31.6°, I = 100
- 34.3°, I = 23
- 34.7°, I = 26
- 45.4°, I = 37
- 47.7°, I = 43
- 58.3°, I = 24

***

For NdSiIr, the GGA-PBE geometry in the Materials Project gives the computed powder diffractogram in this record (λ = 1.5418 Å (Cu Kα)).
Intensities are scaled so that the largest is 100.

a = 6.3653 Å, b = 6.3653 Å, c = 6.3653 Å
α = 90.00°, β = 90.00°, γ = 90.00°
Space group P2_13 (No. 198)
Unique sites:
Nd: 0.1320 0.3680 0.6320 [4 per cell]
Si: 0.0837 0.9163 0.4163 [4 per cell]
Ir: 0.1820 0.1820 0.1820 [4 per cell]

Principal peaks in the range 2θ = 5–70°, in order of rising 2θ:
- 24.2°, I = 19
- 28.0°, I = 19
- 31.4°, I = 100
- 34.5°, I = 58
- 42.6°, I = 19
- 47.4°, I = 20
- 53.9°, I = 49
- 59.9°, I = 18

***

For Nd4Sn8Ir, the GGA-PBE geometry in the Materials Project gives the computed powder diffractogram in this record (λ = 1.5418 Å (Cu Kα)).
Intensities are scaled so that the largest is 100.

a = 4.5117 Å, b = 4.5397 Å, c = 17.4414 Å
α = 90.00°, β = 90.00°, γ = 90.00°
Space group Pmm2 (No. 25)
Unique sites:
Nd: 0.0000 0.0000 0.0000 [1 per cell]
Nd: 0.0000 0.5000 0.4928 [1 per cell]
Nd: 0.5000 0.0000 0.7891 [1 per cell]
Nd: 0.5000 0.5000 0.2919 [1 per cell]
Sn: 0.0000 0.0000 0.3340 [1 per cell]
Sn: 0.0000 0.0000 0.6282 [1 per cell]
Sn: 0.0000 0.5000 0.1420 [1 per cell]
Sn: 0.0000 0.5000 0.8551 [1 per cell]
Sn: 0.5000 0.0000 0.1478 [1 per cell]
Sn: 0.5000 0.0000 0.4513 [1 per cell]
Sn: 0.5000 0.5000 0.6282 [1 per cell]
Sn: 0.5000 0.5000 0.9650 [1 per cell]
Ir: 0.0000 0.5000 0.7070 [1 per cell]

Principal peaks in the range 2θ = 5–70°, in order of rising 2θ:
- 5.1°, I = 18
- 30.8°, I = 14
- 31.9°, I = 100
- 32.4°, I = 14
- 36.8°, I = 15
- 39.7°, I = 22
- 40.0°, I = 22
- 57.6°, I = 15